Diffraction record for PmSm5In. The powder diffraction line list is calculated, not measured: it uses a crystal structure in Alexandria, relaxed with PBE and λ = 1.5418 Å (Cu Kα).
Intensities are scaled so that the largest is 100.

Cell and atoms:
```
data_PmSm5In
_chemical_formula_sum 'Pm2 Sm10 In2'
_space_group_name_H-M_alt 'I m m 2'
_space_group_IT_number 44
_space_group_name_Hall 'I 2 -2'
_cell_length_a 6.3891
_cell_length_b 6.6229
_cell_length_c 10.9195
_cell_angle_alpha 90.00
_cell_angle_beta 90.00
_cell_angle_gamma 90.00
loop_
_atom_site_label
_atom_site_fract_x
_atom_site_fract_y
_atom_site_fract_z
Pm1 0.0000 0.0000 0.0000
Sm1 0.0000 0.2268 0.6380
Sm2 0.0000 0.5000 0.3864
Sm3 0.2393 0.0000 0.3532
In1 0.0000 0.5000 0.1052
```

Main lines, by angle (2θ from 10° to 80°):
| two_theta | I/Imax | h k l |
| --- | --- | --- |
| 26.9 | 15 | 0 2 0 |
| 28.0 | 44 | 0 1 3 |
| 28.2 | 32 | 1 0 3 |
| 31.6 | 100 | 0 2 2 |
| 32.2 | 62 | 2 1 1 |
| 32.5 | 36 | 2 0 2 |
| 32.8 | 21 | 0 0 4 |
| 39.4 | 19 | 1 2 3 |
| 39.9 | 17 | 2 1 3 |
| 51.0 | 16 | 2 3 1 |
| 55.5 | 21 | 0 4 0 |
| 57.7 | 15 | 4 0 0 |

***

Diffraction record for PrTmHg5. The powder diffraction line list is calculated, not measured: it uses a crystal structure in Alexandria, relaxed with PBE and λ = 1.5418 Å (Cu Kα).
Intensities are scaled so that the largest is 100.

Cell and atoms:
```
data_PrTmHg5
_chemical_formula_sum 'Pr2 Tm2 Hg10'
_space_group_name_H-M_alt 'C m m m'
_space_group_IT_number 65
_space_group_name_Hall '-C 2 2'
_cell_length_a 6.3407
_cell_length_b 8.7005
_cell_length_c 6.9428
_cell_angle_alpha 90.00
_cell_angle_beta 90.00
_cell_angle_gamma 90.00
loop_
_atom_site_label
_atom_site_fract_x
_atom_site_fract_y
_atom_site_fract_z
Pr1 0.0000 0.0000 0.0000
Tm1 0.0000 0.5000 0.5000
Hg1 0.0000 0.0000 0.5000
Hg2 0.2500 0.2500 0.2473
```

Main lines, by angle (2θ from 10° to 80°):
| two_theta | I/Imax | h k l |
| --- | --- | --- |
| 12.8 | 12 | 0 0 1 |
| 33.0 | 100 | 0 2 2 |
| 35.0 | 86 | 2 2 0 |
| 38.5 | 67 | 2 0 2 |
| 41.5 | 27 | 0 4 0 |
| 52.7 | 14 | 0 0 4 |
| 57.9 | 41 | 2 4 2 |
| 64.9 | 29 | 2 2 4 |
| 68.6 | 25 | 4 2 2 |
| 69.3 | 12 | 0 4 4 |
| 70.4 | 12 | 0 6 2 |
| 71.6 | 11 | 2 6 0 |

***

Diffraction record for Rb2TmZrSe4. The powder diffraction line list is calculated, not measured: it uses a crystal structure in Alexandria, relaxed with PBE and λ = 1.5418 Å (Cu Kα).
Intensities are scaled so that the largest is 100.

Cell and atoms:
```
data_Rb2TmZrSe4
_chemical_formula_sum 'Rb2 Tm1 Zr1 Se4'
_space_group_name_H-M_alt 'P 1 2/m 1'
_space_group_IT_number 10
_space_group_name_Hall '-P 2y'
_cell_length_a 7.0834
_cell_length_b 4.0504
_cell_length_c 8.3553
_cell_angle_alpha 90.00
_cell_angle_beta 106.14
_cell_angle_gamma 90.00
loop_
_atom_site_label
_atom_site_fract_x
_atom_site_fract_y
_atom_site_fract_z
Rb1 0.0000 0.0000 0.0000
Rb2 0.5000 0.5000 0.0000
Tm1 0.0000 0.5000 0.5000
Zr1 0.5000 0.0000 0.5000
Se1 0.2390 0.0000 0.6950
Se2 0.2758 0.5000 0.3068
```

Main lines, by angle (2θ from 10° to 80°):
| two_theta | I/Imax | h k l |
| --- | --- | --- |
| 11.0 | 25 | 0 0 1 |
| 29.4 | 100 | 1 1 1 |
| 36.5 | 11 | 2 0 -3 |
| 39.2 | 11 | 2 0 2 |
| 39.5 | 23 | 1 1 -3 |
| 44.4 | 23 | 3 1 -1 |
| 44.7 | 11 | 0 2 0 |
| 45.6 | 5 | 2 0 -4 |
| 49.1 | 5 | 1 1 -4 |
| 53.9 | 6 | 4 0 0 |
| 54.4 | 11 | 2 2 -2 |
| 61.0 | 6 | 2 2 2 |

***

Diffraction record for Li6MgCd2. The powder diffraction line list is calculated, not measured: it uses a crystal structure in Alexandria, relaxed with PBE and λ = 1.5418 Å (Cu Kα).
Intensities are scaled so that the largest is 100.

Cell and atoms:
```
data_Li6MgCd2
_chemical_formula_sum 'Li12 Mg2 Cd4'
_space_group_name_H-M_alt 'I m m m'
_space_group_IT_number 71
_space_group_name_Hall '-I 2 2'
_cell_length_a 2.9007
_cell_length_b 8.2344
_cell_length_c 14.5356
_cell_angle_alpha 90.00
_cell_angle_beta 90.00
_cell_angle_gamma 90.00
loop_
_atom_site_label
_atom_site_fract_x
_atom_site_fract_y
_atom_site_fract_z
Li1 0.0000 0.1663 0.0000
Li2 0.0000 0.3253 0.1690
Mg1 0.0000 0.0000 0.5000
Cd1 0.0000 0.5000 0.3449
```

Main lines, by angle (2θ from 10° to 80°):
| two_theta | I/Imax | h k l |
| --- | --- | --- |
| 12.4 | 64 | 0 1 1 |
| 21.3 | 100 | 0 1 3 |
| 21.6 | 49 | 0 2 0 |
| 32.7 | 26 | 1 1 0 |
| 35.0 | 15 | 1 1 2 |
| 36.1 | 16 | 1 0 3 |
| 37.1 | 15 | 0 0 6 |
| 37.7 | 32 | 0 3 3 |
| 38.5 | 21 | 1 2 1 |
| 41.3 | 26 | 1 1 4 |
| 42.4 | 25 | 1 2 3 |
| 58.2 | 13 | 1 4 3 |